No. 1
Structure and computed powder diffractogram of Na2ErWO6 (DFT lattice parameters and positions (PBE+U); a wavelength of 1.5418 Å).

Atomic structure:
```
20
Lattice="5.6907 0.0000 0.0000 0.0000 5.8116 0.0000 -5.6840 0.0000 8.1291" Properties=species:S:1:pos:R:3 pbc="T T T"
Na -0.0372 0.1685 2.0452
Na -2.8792 2.7373 6.1098
Na 2.8859 3.0743 2.0193
Na 0.0439 5.6432 6.0839
Er 2.8454 0.0000 0.0000
Er 0.0034 2.9058 4.0646
W -2.8420 0.0000 4.0646
W 0.0000 2.9058 0.0000
O -4.6011 1.3245 7.7660
O -1.7591 1.5813 3.7015
O -4.1300 4.0309 7.8107
O -1.2880 4.6866 3.7461
O -2.3791 0.1358 5.9518
O 0.4629 2.7700 1.8873
O -0.4562 3.0416 6.2419
O 2.3858 5.6758 2.1773
O 1.2947 1.1251 4.3830
O 4.1367 1.7807 0.3185
O 1.7658 4.2303 4.4276
O 4.6078 4.4871 0.3631
```

Most intense lines, 10° ≤ 2θ ≤ 80°, most intense first:
2θ/deg, d_spacing, I_rel
21.86, 4.066, 100
31.11, 2.875, 69
44.57, 2.033, 30
50.18, 1.818, 29
30.77, 2.906, 18
31.44, 2.845, 16
55.77, 1.648, 16
54.93, 1.672, 15
73.69, 1.286, 12
64.87, 1.437, 11
49.72, 1.834, 8
55.15, 1.665, 8

***

No. 2
Structure and computed powder diffractogram of Na2UCrO6 (DFT lattice parameters and positions (PBE+U); a wavelength of 1.5418 Å).

Atomic structure:
```
10
Lattice="4.8087 -2.8381 0.0000 4.8087 2.8381 0.0000 -3.2205 0.0000 4.5451" Properties=species:S:1:pos:R:3 pbc="T T T"
Na 1.6303 0.0000 1.0653
Na 4.7666 0.0000 3.4798
U 4.8087 0.0000 0.0000
Cr -1.6103 0.0000 2.2725
O 3.7070 1.4515 0.9677
O 0.1643 0.0000 2.9674
O 2.6899 1.4515 3.5774
O 3.7070 -1.4515 0.9677
O 6.2326 0.0000 1.5777
O 2.6899 -1.4515 3.5774
```

Most intense lines, 10° ≤ 2θ ≤ 80°, most intense first:
2θ/deg, d_spacing, I_rel
32.05, 2.793, 100
22.36, 3.976, 93
19.30, 4.599, 50
19.54, 4.543, 49
22.66, 3.924, 43
45.64, 1.988, 34
31.52, 2.838, 25
37.36, 2.407, 23
57.24, 1.609, 23
37.77, 2.382, 22
32.14, 2.785, 21
51.54, 1.773, 21